1.
Diffraction record for AcCuPt3. The X-ray powder pattern is theoretical, not measured: it uses the GGA-PBE geometry in Alexandria and Cu Kα (weighted mean of Kα1 and Kα2).
Kinematic intensities with the Lorentz-polarization factor, no thermal factor.

Cell and atoms:
abc: 6.785 6.785 6.785
angles: 132.81 97.76 100.68
Sites, in units of the cell vectors:
Ac: 0.290 0.040 0.250
Ac: 0.710 0.960 0.750
Cu: 0.000 0.500 0.500
Cu: 0.500 0.500 0.000
Pt: 0.093 0.343 0.750
Pt: 0.249 0.000 0.749
Pt: 0.249 0.500 0.249
Pt: 0.751 0.000 0.251
Pt: 0.751 0.500 0.751
Pt: 0.907 0.657 0.250

Principal peaks in the range 2θ from 10° to 80°, by angle:
- 14.25 deg, I = 25.3
- 27.85 deg, I = 28.5
- 28.19 deg, I = 69.9
- 28.73 deg, I = 78.0
- 38.82 deg, I = 100.0
- 39.15 deg, I = 60.5
- 40.41 deg, I = 90.5
- 40.77 deg, I = 58.1
- 44.30 deg, I = 28.9
- 57.54 deg, I = 39.7

2.
Diffraction record for Ac2Cu3Pt. The X-ray powder pattern is theoretical, not measured: it uses the GGA-PBE geometry in Alexandria and Cu Kα (weighted mean of Kα1 and Kα2).
Kinematic intensities with the Lorentz-polarization factor, no thermal factor.

Cell and atoms:
abc: 4.148 4.389 7.666
angles: 90.00 90.00 90.00
Sites, in units of the cell vectors:
Ac: 0.000 0.000 0.000
Ac: 0.000 0.500 0.486
Cu: 0.500 0.000 0.669
Cu: 0.500 0.500 0.149
Cu: 0.500 0.500 0.825
Pt: 0.500 0.000 0.329

Principal peaks in the range 2θ from 10° to 80°, by angle:
- 23.36 deg, I = 16.8
- 31.79 deg, I = 48.8
- 31.90 deg, I = 100.0
- 40.86 deg, I = 41.9
- 41.14 deg, I = 20.9
- 43.64 deg, I = 17.7
- 52.90 deg, I = 23.6
- 61.32 deg, I = 25.3
- 61.52 deg, I = 12.7
- 72.74 deg, I = 14.1

3.
Diffraction record for Ac3Cu4Pt4. The X-ray powder pattern is theoretical, not measured: it uses the GGA-PBE geometry in Alexandria and Cu Kα (weighted mean of Kα1 and Kα2).
Kinematic intensities with the Lorentz-polarization factor, no thermal factor.

Cell and atoms:
abc: 6.739 6.739 6.739
angles: 109.47 109.47 109.47
Sites, in units of the cell vectors:
Ac: 0.000 0.500 0.500
Ac: 0.500 0.000 0.500
Ac: 0.500 0.500 0.000
Cu: 0.000 0.000 0.773
Cu: 0.000 0.773 0.000
Cu: 0.227 0.227 0.227
Cu: 0.773 0.000 0.000
Pt: 0.000 0.000 0.409
Pt: 0.000 0.409 0.000
Pt: 0.409 0.000 0.000
Pt: 0.591 0.591 0.591

Principal peaks in the range 2θ from 10° to 80°, by angle:
- 28.09 deg, I = 26.0
- 32.55 deg, I = 100.0
- 36.51 deg, I = 24.8
- 43.52 deg, I = 22.1
- 49.71 deg, I = 26.2
- 55.38 deg, I = 10.4
- 58.07 deg, I = 23.2
- 60.68 deg, I = 9.9
- 68.17 deg, I = 8.9
- 75.28 deg, I = 11.0

4.
Diffraction record for AcCu2SiPt. The X-ray powder pattern is theoretical, not measured: it uses the GGA-PBE geometry in Alexandria and Cu Kα (weighted mean of Kα1 and Kα2).
Kinematic intensities with the Lorentz-polarization factor, no thermal factor.

Cell and atoms:
abc: 4.399 4.437 9.733
angles: 90.00 90.00 90.00
Sites, in units of the cell vectors:
Ac: 0.000 0.000 0.000
Ac: 0.500 0.500 0.500
Cu: 0.000 0.000 0.389
Cu: 0.000 0.500 0.246
Cu: 0.500 0.000 0.746
Cu: 0.500 0.500 0.889
Si: 0.000 0.000 0.639
Si: 0.500 0.500 0.139
Pt: 0.000 0.500 0.741
Pt: 0.500 0.000 0.241

Principal peaks in the range 2θ from 10° to 80°, by angle:
- 22.02 deg, I = 27.2
- 22.18 deg, I = 17.4
- 34.11 deg, I = 100.0
- 34.24 deg, I = 14.3
- 34.35 deg, I = 24.4
- 40.67 deg, I = 21.4
- 41.04 deg, I = 20.9
- 51.28 deg, I = 13.6
- 59.15 deg, I = 14.2
- 69.83 deg, I = 14.5

Repeat the third record exactly.
Diffraction record for Ac3Cu4Pt4. The X-ray powder pattern is theoretical, not measured: it uses the GGA-PBE geometry in Alexandria and Cu Kα (weighted mean of Kα1 and Kα2).
Kinematic intensities with the Lorentz-polarization factor, no thermal factor.

Cell and atoms:
abc: 6.739 6.739 6.739
angles: 109.47 109.47 109.47
Sites, in units of the cell vectors:
Ac: 0.000 0.500 0.500
Ac: 0.500 0.000 0.500
Ac: 0.500 0.500 0.000
Cu: 0.000 0.000 0.773
Cu: 0.000 0.773 0.000
Cu: 0.227 0.227 0.227
Cu: 0.773 0.000 0.000
Pt: 0.000 0.000 0.409
Pt: 0.000 0.409 0.000
Pt: 0.409 0.000 0.000
Pt: 0.591 0.591 0.591

Principal peaks in the range 2θ from 10° to 80°, by angle:
- 28.09 deg, I = 26.0
- 32.55 deg, I = 100.0
- 36.51 deg, I = 24.8
- 43.52 deg, I = 22.1
- 49.71 deg, I = 26.2
- 55.38 deg, I = 10.4
- 58.07 deg, I = 23.2
- 60.68 deg, I = 9.9
- 68.17 deg, I = 8.9
- 75.28 deg, I = 11.0